The following is a theoretical PXRD pattern of BaV3O8. It was derived from a DFT-relaxed cell (PBE+U, Alexandria), using Cu Kα X-rays.
Lines closer than 0.1° are merged.

Top 10 peaks for 2θ from 10° to 80°, in order of rising 2θ:
d = 3.484 Å, 25.57 deg, I = 100; d = 2.575 Å, 34.84 deg, I = 38; d = 2.480 Å, 36.22 deg, I = 10; d = 2.433 Å, 36.94 deg, I = 16; d = 2.365 Å, 38.04 deg, I = 20; d = 2.117 Å, 42.71 deg, I = 13; d = 2.071 Å, 43.72 deg, I = 18; d = 1.614 Å, 57.08 deg, I = 18; d = 1.508 Å, 61.50 deg, I = 15; d = 1.487 Å, 62.47 deg, I = 13

Structure:
Cell: 8.0118 8.0118 8.0118 Å, 37.49 37.49 37.49°
Atoms (fractional coordinates):
Ba  0.0000  0.0000  0.0000
V  0.2376  0.2376  0.2376
V  0.5000  0.5000  0.5000
V  0.7624  0.7624  0.7624
O  0.1288  0.4721  0.7473
O  0.2527  0.8712  0.5279
O  0.3136  0.3136  0.3136
O  0.4721  0.7473  0.1288
O  0.5279  0.2527  0.8712
O  0.6864  0.6864  0.6864
O  0.7473  0.1288  0.4721
O  0.8712  0.5279  0.2527